[1]
LiTi3MnCrP6O24: calculated powder X-ray diffraction pattern (Cu Ka), based on a DFT-relaxed cell (GGA+U, the Materials Project).
Kinematic intensities with the Lorentz-polarization factor, no thermal factor.

a = 8.629 Å, b = 8.629 Å, c = 8.629 Å
α = 59.92°, β = 59.92°, γ = 59.92°
Sites, in units of the cell vectors:
Li  0.000  0.000  0.000
Ti  0.142  0.142  0.142
Ti  0.645  0.645  0.645
Ti  0.859  0.859  0.859
Mn  0.499  0.499  0.499
Cr  0.357  0.357  0.357
P  0.042  0.751  0.458
P  0.250  0.540  0.960
P  0.458  0.042  0.751
P  0.540  0.960  0.250
P  0.751  0.458  0.042
P  0.960  0.250  0.540
O  0.000  0.194  0.375
O  0.056  0.915  0.268
O  0.084  0.731  0.938
O  0.117  0.307  0.506
O  0.194  0.375  0.000
O  0.234  0.585  0.445
O  0.268  0.056  0.915
O  0.307  0.506  0.117
O  0.375  0.000  0.194
O  0.415  0.556  0.764
O  0.445  0.234  0.585
O  0.501  0.878  0.692
O  0.506  0.117  0.307
O  0.556  0.764  0.415
O  0.585  0.445  0.234
O  0.623  0.998  0.807
O  0.692  0.501  0.878
O  0.731  0.938  0.084
O  0.764  0.415  0.556
O  0.807  0.623  0.998
O  0.878  0.692  0.501
O  0.915  0.268  0.056
O  0.938  0.084  0.731
O  0.998  0.807  0.623

Principal peaks in the range 2θ from 10° to 90°, in order of rising 2θ:
| Position (°2θ) | I_rel |
| --- | --- |
| 20.6 | 566 |
| 24.2 | 1000 |
| 29.3 | 155 |
| 32.0 | 189 |
| 32.8 | 401 |
| 36.1 | 229 |
| 47.1 | 200 |
| 49.6 | 179 |
| 56.5 | 258 |
| 62.8 | 137 |

=====

[2]
Li4TiMn3Cr2P6O24: calculated powder X-ray diffraction pattern (Cu Ka), based on a DFT-relaxed cell (GGA+U, the Materials Project).
Kinematic intensities with the Lorentz-polarization factor, no thermal factor.

a = 8.517 Å, b = 8.735 Å, c = 8.749 Å
α = 62.30°, β = 62.75°, γ = 62.97°
Sites, in units of the cell vectors:
Li  0.000  0.000  0.000
Li  0.106  0.872  0.494
Li  0.217  0.369  0.427
Li  0.633  0.574  0.792
Ti  0.202  0.565  0.991
Mn  0.009  0.374  0.799
Mn  0.508  0.873  0.291
Mn  0.702  0.078  0.491
Cr  0.366  0.721  0.142
Cr  0.848  0.223  0.648
P  0.101  0.162  0.195
P  0.285  0.963  0.691
P  0.409  0.467  0.590
P  0.597  0.279  0.087
P  0.794  0.769  0.890
P  0.926  0.675  0.386
O  0.028  0.185  0.053
O  0.094  0.119  0.721
O  0.125  0.639  0.229
O  0.167  0.333  0.128
O  0.253  0.975  0.218
O  0.261  0.810  0.887
O  0.271  0.383  0.617
O  0.301  0.902  0.547
O  0.336  0.530  0.763
O  0.408  0.632  0.416
O  0.445  0.479  0.049
O  0.452  0.015  0.649
O  0.526  0.131  0.126
O  0.603  0.328  0.587
O  0.606  0.791  0.043
O  0.649  0.257  0.243
O  0.751  0.301  0.896
O  0.770  0.733  0.314
O  0.814  0.948  0.736
O  0.815  0.625  0.821
O  0.918  0.821  0.442
O  0.939  0.484  0.536
O  0.959  0.156  0.387
O  0.963  0.694  0.965

Principal peaks in the range 2θ from 10° to 90°, in order of rising 2θ:
| Position (°2θ) | I_rel |
| --- | --- |
| 19.7 | 1000 |
| 19.8 | 422 |
| 23.3 | 846 |
| 23.5 | 851 |
| 23.9 | 797 |
| 32.2 | 774 |
| 32.6 | 652 |
| 33.1 | 556 |
| 34.4 | 777 |
| 34.6 | 429 |

=====

[3]
Li4Mn2Cr3Sb3O16: calculated powder X-ray diffraction pattern (Cu Ka), based on a DFT-relaxed cell (GGA+U, the Materials Project).
Kinematic intensities with the Lorentz-polarization factor, no thermal factor.

a = 6.113 Å, b = 6.113 Å, c = 10.019 Å
α = 90.09°, β = 90.09°, γ = 60.37°
Sites, in units of the cell vectors:
Li  0.000  0.000  0.000
Li  0.001  0.001  0.515
Li  0.338  0.338  0.410
Li  0.672  0.672  0.878
Mn  0.355  0.355  0.989
Mn  0.683  0.683  0.526
Cr  0.178  0.673  0.724
Cr  0.673  0.178  0.724
Cr  0.842  0.842  0.226
Sb  0.179  0.179  0.725
Sb  0.347  0.842  0.226
Sb  0.842  0.347  0.226
O  0.010  0.010  0.329
O  0.011  0.011  0.823
O  0.040  0.489  0.840
O  0.164  0.164  0.115
O  0.169  0.704  0.118
O  0.317  0.862  0.613
O  0.341  0.341  0.615
O  0.489  0.040  0.840
O  0.493  0.493  0.836
O  0.520  0.978  0.335
O  0.521  0.521  0.337
O  0.676  0.676  0.115
O  0.704  0.169  0.118
O  0.855  0.855  0.617
O  0.862  0.317  0.613
O  0.978  0.520  0.335

Principal peaks in the range 2θ from 10° to 90°, in order of rising 2θ:
| Position (°2θ) | I_rel |
| --- | --- |
| 17.7 | 1000 |
| 18.9 | 742 |
| 24.4 | 273 |
| 31.7 | 331 |
| 34.4 | 284 |
| 34.9 | 509 |
| 35.1 | 248 |
| 43.5 | 403 |
| 57.6 | 282 |
| 60.6 | 225 |

=====

Number 1 is which compound?
LiTi3MnCrP6O24